[1]
Calculated PXRD pattern of Er11Tl9Co4 for Cu Kα, 1.54184 Å, from DFT lattice parameters and positions (GGA-PBE).
Lines closer than 0.1° are merged.

Crystal structure
```
Er11Tl9Co4
1.0
7.2051 -10.7956 0.0000
7.2051 10.7956 0.0000
0.0000 0.0000 3.6384
Er Tl Co
11 9 4
Cartesian
0.0000 0.0000 0.0000
3.6512 3.5757 0.0000
7.2051 7.2863 0.0000
4.5248 0.0000 0.0000
7.2051 2.6965 0.0000
3.6512 -3.5757 0.0000
10.7591 3.5757 0.0000
7.2051 -2.6965 0.0000
9.8855 0.0000 0.0000
7.2051 -7.2863 0.0000
10.7591 -3.5757 0.0000
2.1168 1.5708 1.8192
5.6434 5.1398 1.8192
2.1168 -1.5708 1.8192
8.7669 5.1398 1.8192
7.2051 0.0000 1.8192
5.6434 -5.1398 1.8192
12.2935 1.5708 1.8192
8.7669 -5.1398 1.8192
12.2935 -1.5708 1.8192
5.0462 2.1638 1.8192
5.0462 -2.1638 1.8192
9.3641 2.1638 1.8192
9.3641 -2.1638 1.8192
```

Principal peaks in the range 10° ≤ 2θ ≤ 90°, by intensity:
2θ 35.1, intensity 100
2θ 35.3, intensity 45
2θ 62.8, intensity 19
2θ 31.1, intensity 19
2θ 50.1, intensity 17
2θ 32.8, intensity 14
2θ 38.4, intensity 13
2θ 50.7, intensity 12

[2]
Calculated PXRD pattern of Sm5MgIn for Cu Kα, 1.54184 Å, from DFT lattice parameters and positions (GGA-PBE).
Lines closer than 0.1° are merged.

Crystal structure
```
Sm5MgIn
1.0
4.3193 -4.5854 0.0000
4.3193 4.5854 0.0000
-3.4048 0.0000 11.1295
Sm Mg In
10 2 2
Cartesian
-1.0592 1.8509 9.3144
1.7656 3.3537 8.3472
1.7303 1.3361 5.1930
0.6432 -1.8509 3.7496
5.2058 1.3361 0.3718
0.0279 -1.3361 10.7578
4.5905 1.8509 7.3799
3.5034 -1.3361 5.9365
3.4681 -3.3537 2.7824
6.2929 -1.8509 1.8151
0.0000 0.0000 0.0000
-1.7024 0.0000 5.5648
1.7656 0.1095 8.3472
3.4681 -0.1095 2.7824
```

Principal peaks in the range 10° ≤ 2θ ≤ 90°, by intensity:
2θ 33.7, intensity 100
2θ 30.8, intensity 80
2θ 32.6, intensity 66
2θ 31.9, intensity 63
2θ 33.1, intensity 54
2θ 19.1, intensity 31
2θ 29.1, intensity 25
2θ 45.3, intensity 21

[3]
Calculated PXRD pattern of KSr2P for Cu Kα, 1.54184 Å, from DFT lattice parameters and positions (GGA-PBE).
Lines closer than 0.1° are merged.

Crystal structure
```
KSr2P
1.0
2.2403 1.2934 11.2890
-2.2403 1.2934 11.2890
0.0000 -2.5869 11.2890
K Sr P
1 2 1
Cartesian
0.0000 0.0000 0.0000
0.0000 0.0000 18.4640
0.0000 0.0000 26.6300
0.0000 0.0000 5.6105
```

Principal peaks in the range 10° ≤ 2θ ≤ 90°, by intensity:
2θ 26.5, intensity 100
2θ 25.2, intensity 83
2θ 31.3, intensity 60
2θ 40.3, intensity 51
2θ 41.8, intensity 35
2θ 23.6, intensity 30
2θ 47.2, intensity 28
2θ 23.1, intensity 25

[4]
Calculated PXRD pattern of LiNi2Ru for Cu Kα, 1.54184 Å, from DFT lattice parameters and positions (GGA-PBE).
Lines closer than 0.1° are merged.

Crystal structure
```
LiNi2Ru
1.0
2.6058 0.0000 0.0000
0.0000 2.6058 0.0000
0.0000 0.0000 7.3050
Li Ni Ru
1 2 1
Cartesian
0.0000 0.0000 0.0000
1.3029 1.3029 1.8862
1.3029 1.3029 5.4187
0.0000 0.0000 3.6525
```

Principal peaks in the range 10° ≤ 2θ ≤ 90°, by intensity:
2θ 12.1, intensity 100
2θ 42.6, intensity 91
2θ 49.5, intensity 29
2θ 36.6, intensity 21
2θ 88.0, intensity 21
2θ 72.9, intensity 17
2θ 49.9, intensity 14
2θ 51.4, intensity 13

[5]
Calculated PXRD pattern of SrZn11Pt for Cu Kα, 1.54184 Å, from DFT lattice parameters and positions (GGA-PBE).
Lines closer than 0.1° are merged.

Crystal structure
```
SrZn11Pt
1.0
2.6150 -6.4838 0.0000
2.6150 6.4838 0.0000
-2.5261 0.0000 6.3950
Sr Zn Pt
1 11 1
Cartesian
0.0000 0.0000 0.0000
1.3075 3.2419 0.0000
0.1274 4.1940 4.1022
0.0691 1.4881 4.9546
2.5765 4.1940 2.2928
2.6347 1.4881 1.4404
1.3075 -3.2419 0.0000
1.3519 0.0000 3.1975
0.0691 -1.4881 4.9546
0.1274 -4.1940 4.1022
2.6347 -1.4881 1.4404
2.5765 -4.1940 2.2928
-1.2631 0.0000 3.1975
```

Principal peaks in the range 10° ≤ 2θ ≤ 90°, by intensity:
2θ 39.6, intensity 100
2θ 44.5, intensity 44
2θ 39.9, intensity 33
2θ 39.4, intensity 27
2θ 19.5, intensity 27
2θ 44.3, intensity 24
2θ 34.3, intensity 23
2θ 13.8, intensity 15

[6]
Calculated PXRD pattern of CsVCu2S4 for Cu Kα, 1.54184 Å, from DFT lattice parameters and positions (GGA-PBE).
Lines closer than 0.1° are merged.

Crystal structure
```
CsVCu2S4
1.0
-3.1477 3.1477 4.5578
3.1477 -3.1477 4.5578
3.1477 3.1477 -4.5578
Cs V Cu S
1 1 2 4
Cartesian
0.0000 0.0000 0.0000
0.0000 0.0000 4.5578
3.1477 0.0000 2.2789
0.0000 3.1477 2.2789
1.1723 -1.1723 3.1193
1.9754 1.9754 1.4385
-1.1723 1.1723 3.1193
1.1723 1.1723 5.9963
```

Principal peaks in the range 10° ≤ 2θ ≤ 90°, by intensity:
2θ 28.0, intensity 100
2θ 50.0, intensity 41
2θ 49.4, intensity 26
2θ 40.5, intensity 24
2θ 28.4, intensity 23
2θ 33.3, intensity 18
2θ 32.7, intensity 10
2θ 64.8, intensity 9